For BaSmCoCuO6, a structure optimized by DFT (PBE+U) gives the calculated PXRD pattern in this record (λ = 1.5418 Å (Cu Kα)).
Kinematic intensities with the Lorentz-polarization factor, no thermal factor.

Main lines, low angle first (2θ = 10–90°):
- 2θ 32.17, I 52, (1 1 0)
- 2θ 32.60, I 100, (1 0 2)
- 2θ 40.03, I 23, (1 1 2)
- 2θ 46.13, I 33, (2 0 0)
- 2θ 47.39, I 14, (0 0 4)
- 2θ 57.62, I 39, (2 1 2)
- 2θ 58.44, I 20, (1 1 4)
- 2θ 68.29, I 18, (2 0 4)

Unit cell a=3.9354 b=3.9354 c=7.6728 alpha=90.00 beta=90.00 gamma=90.00
Space group P4mm (No. 99)
Inequivalent atoms, fractional coordinates:
Ba  0.0000  0.0000  0.0000 [1 per cell]
Sm  0.0000  0.0000  0.4987 [1 per cell]
Co  0.5000  0.5000  0.7441 [1 per cell]
Cu  0.5000  0.5000  0.2517 [1 per cell]
O  0.0000  0.5000  0.2797 [2 per cell]
O  0.0000  0.5000  0.7202 [2 per cell]
O  0.5000  0.5000  0.5028 [1 per cell]
O  0.5000  0.5000  0.9850 [1 per cell]